Entry 1:
Structure and simulated powder XRD pattern of DyWC2 (a DFT-relaxed cell (GGA-PBE, the Materials Project); λ = 1.5418 Å (Cu Kα)).

```
DyWC2
1.0
5.730 0.000 0.000
0.000 3.381 0.000
0.000 0.000 10.813
Dy W C
4 4 8
direct
0.085 0.250 0.137
0.415 0.750 0.637
0.585 0.250 0.363
0.915 0.750 0.863
0.097 0.750 0.389
0.403 0.250 0.889
0.597 0.750 0.111
0.903 0.250 0.611
0.161 0.250 0.753
0.223 0.250 0.485
0.277 0.750 0.985
0.339 0.750 0.253
0.661 0.250 0.747
0.723 0.250 0.015
0.777 0.750 0.515
0.839 0.750 0.247
```

The 10 most intense peaks (2θ from 15° to 90°), in order of rising 2θ:
2θ (°)	Rel. int.
31.83	24
32.33	33
33.14	33
35.00	100
39.80	15
40.21	23
55.94	20
60.41	17
65.09	13
69.62	13

***

Entry 2:
Structure and simulated powder XRD pattern of TbTlTe2 (a DFT-relaxed cell (GGA-PBE, the Materials Project); λ = 1.5418 Å (Cu Kα)).

```
TbTlTe2
1.0
2.231 1.288 8.241
-2.231 1.288 8.241
0.000 -2.576 8.241
Tb Tl Te
1 1 2
direct
0.000 0.000 0.000
0.500 0.500 0.500
0.262 0.262 0.262
0.738 0.738 0.738
```

The 10 most intense peaks (2θ from 15° to 90°), in order of rising 2θ:
2θ (°)	Rel. int.
27.21	100
37.26	39
40.43	36
43.95	7
49.42	20
56.14	12
61.24	15
65.68	17
71.43	12
73.52	6

***

Entry 3:
Structure and simulated powder XRD pattern of Sc3Ge6N11 (a DFT-relaxed cell (GGA-PBE, the Materials Project); λ = 1.5418 Å (Cu Kα)).

```
Sc3Ge6N11
1.0
10.199 0.000 0.000
0.000 10.199 0.000
0.000 0.000 5.107
Sc Ge N
6 12 22
direct
0.000 0.000 0.000
0.196 0.304 0.988
0.304 0.804 0.988
0.500 0.500 0.000
0.696 0.196 0.988
0.804 0.696 0.988
0.081 0.795 0.572
0.120 0.620 0.097
0.205 0.081 0.572
0.295 0.581 0.572
0.380 0.120 0.097
0.419 0.295 0.572
0.581 0.705 0.572
0.620 0.880 0.097
0.705 0.419 0.572
0.795 0.919 0.572
0.880 0.380 0.097
0.919 0.205 0.572
0.000 0.500 0.170
0.078 0.182 0.734
0.094 0.794 0.212
0.154 0.654 0.745
0.182 0.922 0.734
0.206 0.094 0.212
0.294 0.594 0.212
0.318 0.422 0.734
0.346 0.154 0.745
0.406 0.294 0.212
0.422 0.682 0.734
0.500 0.000 0.170
0.578 0.318 0.734
0.594 0.706 0.212
0.654 0.846 0.745
0.682 0.578 0.734
0.706 0.406 0.212
0.794 0.906 0.212
0.818 0.078 0.734
0.846 0.346 0.745
0.906 0.206 0.212
0.922 0.818 0.734
```

The 10 most intense peaks (2θ from 15° to 90°), in order of rising 2θ:
2θ (°)	Rel. int.
19.46	56
21.32	33
30.34	40
32.84	53
35.15	31
36.31	100
40.49	24
51.43	25
63.81	18
64.61	14